No. 1
Structure and simulated X-ray powder pattern of CsTl2SeI (the GGA-PBE geometry in Alexandria; Cu Kα (weighted mean of Kα1 and Kα2)).

Largest 10 diffraction maxima, sorted by position, 2θ = 5–70°:
d 10.450, rel. 44; d 4.115, rel. 54; d 3.404, rel. 100; d 3.226, rel. 74; d 3.114, rel. 22; d 2.854, rel. 31; d 2.612, rel. 23; d 2.555, rel. 74; d 2.238, rel. 31; d 1.871, rel. 38

Atomic structure:
Unit cell a=9.345 b=4.477 c=10.460 alpha=90.00 beta=92.57 gamma=90.00
Fractional coordinates of all 10 atoms:
Cs 0.225 0.250 0.003
Cs 0.775 0.750 0.997
Tl 0.099 0.750 0.629
Tl 0.284 0.250 0.398
Tl 0.716 0.750 0.602
Tl 0.901 0.250 0.371
Se 0.089 0.750 0.259
Se 0.911 0.250 0.741
I 0.433 0.750 0.783
I 0.567 0.250 0.217


No. 2
Structure and simulated X-ray powder pattern of La4Se3Br (the GGA-PBE geometry in Alexandria; Cu Kα (weighted mean of Kα1 and Kα2)).

Largest 10 diffraction maxima, sorted by position, 2θ = 5–70°:
d 3.526, rel. 13; d 3.053, rel. 100; d 2.162, rel. 38; d 2.156, rel. 37; d 1.842, rel. 5; d 1.764, rel. 20; d 1.759, rel. 6; d 1.527, rel. 12; d 1.367, rel. 17; d 1.364, rel. 16

Atomic structure:
Unit cell a=14.288 b=14.288 c=14.288 alpha=17.40 beta=17.40 gamma=17.40
Fractional coordinates of all 8 atoms:
La 0.122 0.122 0.122
La 0.376 0.376 0.376
La 0.624 0.624 0.624
La 0.878 0.878 0.878
Se 0.000 0.000 0.000
Se 0.250 0.250 0.250
Se 0.750 0.750 0.750
Br 0.500 0.500 0.500


No. 3
Structure and simulated X-ray powder pattern of Ac2TlOsO5 (the GGA-PBE geometry in Alexandria; Cu Kα (weighted mean of Kα1 and Kα2)).

Largest 10 diffraction maxima, sorted by position, 2θ = 5–70°:
d 3.279, rel. 16; d 3.119, rel. 100; d 2.966, rel. 30; d 2.870, rel. 34; d 2.593, rel. 25; d 2.200, rel. 21; d 1.952, rel. 22; d 1.740, rel. 19; d 1.704, rel. 13; d 1.525, rel. 9

Atomic structure:
Unit cell a=7.333 b=7.333 c=5.931 alpha=90.00 beta=90.00 gamma=90.00
Fractional coordinates of all 18 atoms:
Ac 0.182 0.318 0.000
Ac 0.318 0.818 0.000
Ac 0.682 0.182 0.000
Ac 0.818 0.682 0.000
Tl 0.000 0.000 0.500
Tl 0.500 0.500 0.500
Os 0.000 0.500 0.500
Os 0.500 0.000 0.500
O 0.000 0.000 0.000
O 0.127 0.627 0.254
O 0.127 0.627 0.746
O 0.373 0.127 0.254
O 0.373 0.127 0.746
O 0.500 0.500 0.000
O 0.627 0.873 0.254
O 0.627 0.873 0.746
O 0.873 0.373 0.254
O 0.873 0.373 0.746


No. 4
Structure and simulated X-ray powder pattern of AcNd4Er4 (the GGA-PBE geometry in Alexandria; Cu Kα (weighted mean of Kα1 and Kα2)).

Largest 10 diffraction maxima, sorted by position, 2θ = 5–70°:
d 4.658, rel. 1; d 2.971, rel. 100; d 2.573, rel. 51; d 1.820, rel. 30; d 1.817, rel. 6; d 1.553, rel. 11; d 1.551, rel. 25; d 1.550, rel. 7; d 1.486, rel. 9; d 1.483, rel. 3

Atomic structure:
Unit cell a=6.302 b=9.633 c=10.901 alpha=100.80 beta=106.71 gamma=96.28
Fractional coordinates of all 18 atoms:
Ac 0.249 0.416 0.197
Ac 0.751 0.584 0.803
Nd 0.246 0.081 0.970
Nd 0.248 0.412 0.857
Nd 0.250 0.755 0.747
Nd 0.254 0.756 0.419
Nd 0.746 0.244 0.581
Nd 0.750 0.245 0.253
Nd 0.752 0.588 0.143
Nd 0.754 0.919 0.030
Er 0.243 0.414 0.528
Er 0.249 0.084 0.636
Er 0.250 0.079 0.309
Er 0.260 0.757 0.087
Er 0.740 0.243 0.913
Er 0.750 0.921 0.691
Er 0.751 0.916 0.364
Er 0.757 0.586 0.472


No. 5
Structure and simulated X-ray powder pattern of RbTbEr4S8 (the GGA-PBE geometry in Alexandria; Cu Kα (weighted mean of Kα1 and Kα2)).

Largest 10 diffraction maxima, sorted by position, 2θ = 5–70°:
d 6.703, rel. 20; d 4.127, rel. 15; d 3.522, rel. 32; d 3.503, rel. 100; d 3.351, rel. 18; d 2.909, rel. 36; d 2.245, rel. 15; d 2.237, rel. 47; d 2.063, rel. 40; d 2.050, rel. 39

Atomic structure:
Unit cell a=8.254 b=8.254 c=8.254 alpha=59.57 beta=59.57 gamma=59.57
Fractional coordinates of all 14 atoms:
Rb 0.000 0.000 0.000
Tb 0.632 0.632 0.632
Er 0.114 0.632 0.632
Er 0.252 0.252 0.252
Er 0.632 0.114 0.632
Er 0.632 0.632 0.114
S 0.383 0.383 0.857
S 0.383 0.857 0.383
S 0.384 0.384 0.384
S 0.434 0.861 0.861
S 0.857 0.383 0.383
S 0.857 0.857 0.857
S 0.861 0.434 0.861
S 0.861 0.861 0.434


No. 6
Structure and simulated X-ray powder pattern of Rb2Nd4Se3O2 (the GGA-PBE geometry in Alexandria; Cu Kα (weighted mean of Kα1 and Kα2)).

Largest 10 diffraction maxima, sorted by position, 2θ = 5–70°:
d 12.875, rel. 86; d 3.283, rel. 57; d 3.219, rel. 19; d 2.920, rel. 30; d 2.663, rel. 100; d 2.401, rel. 63; d 2.336, rel. 21; d 1.925, rel. 18; d 1.698, rel. 22; d 1.432, rel. 30

Atomic structure:
Unit cell a=13.315 b=13.315 c=13.315 alpha=159.22 beta=159.22 gamma=29.55
Fractional coordinates of all 11 atoms:
Rb 0.200 0.200 0.000
Rb 0.800 0.800 0.000
Nd 0.074 0.574 0.500
Nd 0.426 0.926 0.500
Nd 0.574 0.074 0.500
Nd 0.926 0.426 0.500
Se 0.345 0.345 0.000
Se 0.500 0.500 0.000
Se 0.655 0.655 0.000
O 0.092 0.092 0.000
O 0.908 0.908 0.000